(1)
Pm7Er4Tm: calculated powder diffractogram (copper Kα), based on a crystal structure in Alexandria, relaxed with GGA-PBE.
Intensities are scaled so that the largest is 1000.

Largest 8 diffraction maxima, in order of rising 2θ, 10 to 90 degrees two-theta:
d_spacing, I_rel
3.113, 365
2.889, 503
2.824, 1000
2.685, 888
1.811, 388
1.686, 214
1.598, 189
1.534, 301

Cell and atoms:
Lattice parameters (Å, degrees): 6.276 7.237 8.920 90.01 103.65 90.06
Fractional coordinates of all 12 atoms:
Pm 0.000 0.000 0.000
Pm 0.221 0.500 0.666
Pm 0.281 0.750 0.335
Pm 0.499 0.247 0.002
Pm 0.501 0.753 0.998
Pm 0.719 0.250 0.665
Pm 0.779 0.500 0.334
Er 0.220 0.000 0.665
Er 0.277 0.248 0.333
Er 0.723 0.752 0.667
Er 0.780 0.000 0.335
Tm 0.000 0.500 0.000


(2)
Pm6Er12Tm: calculated powder diffractogram (copper Kα), based on a crystal structure in Alexandria, relaxed with GGA-PBE.
Intensities are scaled so that the largest is 1000.

Largest 8 diffraction maxima, in order of rising 2θ, 10 to 90 degrees two-theta:
d_spacing, I_rel
3.065, 267
3.025, 522
2.823, 598
2.812, 655
2.778, 1000
2.594, 423
2.586, 266
1.609, 291

Cell and atoms:
Lattice parameters (Å, degrees): 8.673 8.673 8.673 98.68 98.68 98.68
Fractional coordinates of all 19 atoms:
Pm 0.157 0.597 0.597
Pm 0.403 0.403 0.843
Pm 0.403 0.843 0.403
Pm 0.597 0.157 0.597
Pm 0.597 0.597 0.157
Pm 0.843 0.403 0.403
Er 0.000 0.257 0.743
Er 0.000 0.743 0.257
Er 0.145 0.145 0.418
Er 0.145 0.418 0.145
Er 0.257 0.000 0.743
Er 0.257 0.743 0.000
Er 0.418 0.145 0.145
Er 0.582 0.855 0.855
Er 0.743 0.000 0.257
Er 0.743 0.257 0.000
Er 0.855 0.582 0.855
Er 0.855 0.855 0.582
Tm 0.500 0.500 0.500


(3)
Pm8Er2Tm3: calculated powder diffractogram (copper Kα), based on a crystal structure in Alexandria, relaxed with GGA-PBE.
Intensities are scaled so that the largest is 1000.

Largest 8 diffraction maxima, in order of rising 2θ, 10 to 90 degrees two-theta:
d_spacing, I_rel
2.925, 263
2.881, 652
2.815, 1000
2.352, 119
2.320, 124
1.651, 197
1.601, 117
1.546, 118

Cell and atoms:
Lattice parameters (Å, degrees): 11.844 11.844 11.844 162.21 121.74 61.43
Fractional coordinates of all 13 atoms:
Pm 0.076 0.076 0.000
Pm 0.079 0.831 0.248
Pm 0.370 0.370 0.000
Pm 0.417 0.169 0.248
Pm 0.583 0.831 0.752
Pm 0.630 0.630 0.000
Pm 0.921 0.169 0.752
Pm 0.924 0.924 0.000
Er 0.223 0.723 0.500
Er 0.777 0.277 0.500
Tm 0.239 0.500 0.739
Tm 0.500 0.000 0.500
Tm 0.761 0.500 0.261


(4)
Pm3Er4Tm8: calculated powder diffractogram (copper Kα), based on a crystal structure in Alexandria, relaxed with GGA-PBE.
Intensities are scaled so that the largest is 1000.

Largest 8 diffraction maxima, in order of rising 2θ, 10 to 90 degrees two-theta:
d_spacing, I_rel
3.202, 359
2.878, 1000
2.862, 477
2.797, 300
2.305, 127
2.141, 462
2.134, 223
1.399, 213

Cell and atoms:
Lattice parameters (Å, degrees): 9.207 9.207 6.659 111.11 111.11 88.15
Fractional coordinates of all 15 atoms:
Pm 0.000 0.000 0.000
Pm 0.000 0.500 0.000
Pm 0.500 0.000 0.000
Er 0.000 0.000 0.500
Er 0.000 0.500 0.500
Er 0.500 0.000 0.500
Er 0.500 0.500 0.000
Tm 0.254 0.746 0.000
Tm 0.265 0.265 0.510
Tm 0.268 0.268 0.032
Tm 0.364 0.636 0.500
Tm 0.636 0.364 0.500
Tm 0.732 0.732 0.968
Tm 0.735 0.735 0.490
Tm 0.746 0.254 0.000


(5)
PmEr7Tm3: calculated powder diffractogram (copper Kα), based on a crystal structure in Alexandria, relaxed with GGA-PBE.
Intensities are scaled so that the largest is 1000.

Largest 8 diffraction maxima, in order of rising 2θ, 10 to 90 degrees two-theta:
d_spacing, I_rel
3.500, 164
3.100, 114
2.857, 371
2.767, 286
2.705, 1000
1.988, 222
1.619, 216
1.470, 127

Cell and atoms:
Lattice parameters (Å, degrees): 8.330 8.330 5.715 110.01 110.01 83.37
Fractional coordinates of all 11 atoms:
Pm 0.000 0.000 0.000
Er 0.000 0.000 0.500
Er 0.099 0.490 0.795
Er 0.293 0.293 0.294
Er 0.490 0.099 0.795
Er 0.510 0.901 0.205
Er 0.707 0.707 0.706
Er 0.901 0.510 0.205
Tm 0.295 0.705 0.500
Tm 0.500 0.500 0.000
Tm 0.705 0.295 0.500


(6)
PmEr5Tm3: calculated powder diffractogram (copper Kα), based on a crystal structure in Alexandria, relaxed with GGA-PBE.
Intensities are scaled so that the largest is 1000.

Largest 8 diffraction maxima, in order of rising 2θ, 10 to 90 degrees two-theta:
d_spacing, I_rel
3.002, 359
2.873, 1000
2.674, 390
2.354, 176
2.282, 221
1.709, 124
1.566, 188
1.515, 111

Cell and atoms:
Lattice parameters (Å, degrees): 10.376 10.376 10.376 139.77 67.98 127.70
Fractional coordinates of all 18 atoms:
Pm 0.298 0.048 0.250
Pm 0.702 0.952 0.750
Er 0.156 0.318 0.334
Er 0.156 0.823 0.838
Er 0.340 0.590 0.750
Er 0.484 0.318 0.662
Er 0.484 0.823 0.166
Er 0.516 0.177 0.834
Er 0.516 0.682 0.338
Er 0.660 0.410 0.250
Er 0.844 0.177 0.162
Er 0.844 0.682 0.666
Tm 0.000 0.000 0.500
Tm 0.000 0.500 0.000
Tm 0.182 0.748 0.434
Tm 0.187 0.252 0.934
Tm 0.813 0.748 0.066
Tm 0.818 0.252 0.566


Number 2 is which compound? Pm6Er12Tm